# 1
For Na6MgMo2N2O6, DFT lattice parameters and positions (PBE+U) gives the theoretical X-ray diffraction stick pattern in this record (Cu Kα).
No peak broadening, texture or thermal motion is included.

Lattice parameters (Å, degrees): 5.761 7.157 6.522 90.00 90.49 90.00
Space group Pm (No. 6)
Inequivalent atoms, fractional coordinates:
Na: 0.000 0.000 0.000 (multiplicity 1)
Na: 0.055 0.262 0.488 (multiplicity 2)
Na: 0.505 0.196 0.875 (multiplicity 2)
Na: 0.563 0.500 0.247 (multiplicity 1)
Mg: 0.651 0.500 0.707 (multiplicity 1)
Mo: 0.065 0.500 0.974 (multiplicity 1)
Mo: 0.550 0.000 0.373 (multiplicity 1)
N: 0.385 0.500 0.921 (multiplicity 1)
N: 0.848 0.000 0.336 (multiplicity 1)
O: 0.401 0.000 0.118 (multiplicity 1)
O: 0.475 0.224 0.513 (multiplicity 2)
O: 0.876 0.304 0.809 (multiplicity 2)
O: 0.976 0.500 0.267 (multiplicity 1)

Peak list (8 most intense, 2θ = 10–90°, sorted by position)
- 2θ = 18.4°, I 100, hkl 0 1 1
- 2θ = 19.8°, I 88, hkl 1 1 0
- 2θ = 27.4°, I 35, hkl 0 0 2
- 2θ = 28.4°, I 37, hkl 0 2 1
- 2θ = 31.0°, I 54, hkl 2 0 0
- 2θ = 32.4°, I 52, hkl 1 2 -1
- 2θ = 32.6°, I 48, hkl 1 2 1
- 2θ = 49.1°, I 36, hkl 0 2 3

---

# 2
For MgMn5O8, DFT lattice parameters and positions (PBE+U) gives the theoretical X-ray diffraction stick pattern in this record (Cu Kα).
No peak broadening, texture or thermal motion is included.

Lattice parameters (Å, degrees): 5.182 6.099 6.173 62.46 80.80 86.94
Space group P1 (No. 1)
Inequivalent atoms, fractional coordinates:
Mg: 0.000 0.000 0.000 (multiplicity 1)
Mn: 0.052 0.372 0.478 (multiplicity 1)
Mn: 0.514 0.156 0.268 (multiplicity 1)
Mn: 0.528 0.676 0.240 (multiplicity 1)
Mn: 0.531 0.166 0.747 (multiplicity 1)
Mn: 0.969 0.728 0.674 (multiplicity 1)
O: 0.244 0.036 0.659 (multiplicity 1)
O: 0.282 0.562 0.546 (multiplicity 1)
O: 0.300 0.456 0.181 (multiplicity 1)
O: 0.340 0.044 0.082 (multiplicity 1)
O: 0.722 0.299 0.407 (multiplicity 1)
O: 0.751 0.809 0.926 (multiplicity 1)
O: 0.755 0.875 0.335 (multiplicity 1)
O: 0.825 0.325 0.792 (multiplicity 1)

Peak list (8 most intense, 2θ = 10–90°, sorted by position)
- 2θ = 16.4°, I 52, hkl 0 0 1
- 2θ = 17.0°, I 67, hkl 0 1 1
- 2θ = 22.0°, I 79, hkl 1 0 1
- 2θ = 31.7°, I 73, hkl 1 -1 1
- 2θ = 35.1°, I 53, hkl 2 0 0
- 2θ = 37.2°, I 100, hkl 1 -2 0
- 2θ = 40.0°, I 59, hkl 1 0 -2
- 2θ = 46.6°, I 73, hkl 2 2 2

---

# 3
For Li4Mn3Cr2SnP6O24, DFT lattice parameters and positions (PBE+U) gives the theoretical X-ray diffraction stick pattern in this record (Cu Kα).
No peak broadening, texture or thermal motion is included.

Lattice parameters (Å, degrees): 8.621 8.779 8.907 61.30 61.78 62.22
Space group P1 (No. 1)
Inequivalent atoms, fractional coordinates:
Li: 0.000 0.000 0.000 (multiplicity 1)
Li: 0.110 0.841 0.504 (multiplicity 1)
Li: 0.223 0.324 0.472 (multiplicity 1)
Li: 0.659 0.537 0.795 (multiplicity 1)
Mn: 0.016 0.350 0.813 (multiplicity 1)
Mn: 0.516 0.843 0.303 (multiplicity 1)
Mn: 0.710 0.046 0.502 (multiplicity 1)
Cr: 0.377 0.690 0.157 (multiplicity 1)
Cr: 0.857 0.192 0.654 (multiplicity 1)
Sn: 0.213 0.539 0.005 (multiplicity 1)
P: 0.110 0.129 0.206 (multiplicity 1)
P: 0.287 0.936 0.692 (multiplicity 1)
P: 0.426 0.434 0.604 (multiplicity 1)
P: 0.607 0.249 0.103 (multiplicity 1)
P: 0.798 0.741 0.904 (multiplicity 1)
P: 0.936 0.648 0.401 (multiplicity 1)
O: 0.041 0.159 0.061 (multiplicity 1)
O: 0.108 0.109 0.708 (multiplicity 1)
O: 0.139 0.596 0.251 (multiplicity 1)
O: 0.174 0.293 0.155 (multiplicity 1)
O: 0.249 0.798 0.898 (multiplicity 1)
O: 0.264 0.941 0.228 (multiplicity 1)
O: 0.279 0.356 0.641 (multiplicity 1)
O: 0.290 0.866 0.564 (multiplicity 1)
O: 0.377 0.496 0.764 (multiplicity 1)
O: 0.430 0.596 0.425 (multiplicity 1)
O: 0.464 0.975 0.636 (multiplicity 1)
O: 0.466 0.459 0.048 (multiplicity 1)
O: 0.524 0.109 0.145 (multiplicity 1)
O: 0.611 0.762 0.059 (multiplicity 1)
O: 0.618 0.285 0.594 (multiplicity 1)
O: 0.650 0.230 0.258 (multiplicity 1)
O: 0.772 0.255 0.919 (multiplicity 1)
O: 0.781 0.725 0.324 (multiplicity 1)
O: 0.811 0.924 0.748 (multiplicity 1)
O: 0.821 0.598 0.838 (multiplicity 1)
O: 0.931 0.460 0.557 (multiplicity 1)
O: 0.942 0.786 0.455 (multiplicity 1)
O: 0.958 0.676 0.980 (multiplicity 1)
O: 0.965 0.116 0.397 (multiplicity 1)

Peak list (8 most intense, 2θ = 10–90°, sorted by position)
- 2θ = 19.7°, I 100, hkl 0 1 -1
- 2θ = 23.0°, I 29, hkl 0 1 2
- 2θ = 23.6°, I 29, hkl 1 2 0
- 2θ = 23.7°, I 27, hkl 2 0 1
- 2θ = 31.6°, I 27, hkl 1 2 3
- 2θ = 31.9°, I 41, hkl 1 3 2
- 2θ = 32.5°, I 34, hkl 2 3 1
- 2θ = 34.5°, I 46, hkl 1 -2 1

---

# 4
For Mn3O2F4, DFT lattice parameters and positions (PBE+U) gives the theoretical X-ray diffraction stick pattern in this record (Cu Kα).
No peak broadening, texture or thermal motion is included.

Lattice parameters (Å, degrees): 7.988 4.791 5.736 90.00 92.53 90.00
Space group P2_1/c (No. 14)
Inequivalent atoms, fractional coordinates:
Mn: 0.000 0.000 0.000 (multiplicity 2)
Mn: 0.324 0.039 0.331 (multiplicity 4)
O: 0.217 0.186 0.037 (multiplicity 4)
F: 0.097 0.711 0.803 (multiplicity 4)
F: 0.425 0.697 0.127 (multiplicity 4)

Peak list (8 most intense, 2θ = 10–90°, sorted by position)
- 2θ = 26.4°, I 100, hkl 1 1 -1
- 2θ = 33.7°, I 55, hkl 3 0 0
- 2θ = 38.7°, I 22, hkl 3 1 0
- 2θ = 51.3°, I 29, hkl 1 2 2
- 2θ = 51.5°, I 32, hkl 0 1 3
- 2θ = 54.4°, I 19, hkl 2 2 -2
- 2θ = 64.3°, I 12, hkl 3 1 3
- 2θ = 65.7°, I 12, hkl 1 0 -4

---

- Number 3 is which compound?
  Li4Mn3Cr2SnP6O24